Record 1
Structure and calculated X-ray diffraction stick pattern of Ho4SbPbC (a cell relaxed with PBE; Cu Ka).
Kinematic intensities with the Lorentz-polarization factor, no thermal factor.

Structure:
Unit cell a=6.784 b=15.790 c=6.780 alpha=90.00 beta=90.00 gamma=90.00
Space group Cmcm (No. 63)
Inequivalent atoms, fractional coordinates:
1 Ho 0.000 0.093 0.250 x4
2 Ho 0.000 0.406 0.250 x4
3 Ho 0.250 0.250 0.000 x8
4 Sb 0.000 0.108 0.750 x4
5 Pb 0.000 0.394 0.750 x4
6 C 0.000 0.250 0.250 x4

Largest 6 diffraction maxima, low angle first, 2θ from 10° to 80°:
d (Å)  2θ (°)  intensity  h k l
3.116  28.65  63  2 2 0
2.632  34.06  30  0 6 0
2.572  34.88  100  2 4 0
2.398  37.51  57  2 0 2
1.773  51.56  35  2 6 2
1.416  65.99  32  4 4 2

---

Record 2
Structure and calculated X-ray diffraction stick pattern of Pm3HoC8 (a cell relaxed with PBE; Cu Ka).
Kinematic intensities with the Lorentz-polarization factor, no thermal factor.

Structure:
Unit cell a=7.200 b=7.200 c=7.631 alpha=90.00 beta=90.00 gamma=90.00
Space group I-42m (No. 121)
Inequivalent atoms, fractional coordinates:
1 Pm 0.000 0.000 0.000 x2
2 Pm 0.000 0.500 0.250 x4
3 Ho 0.000 0.000 0.500 x2
4 C 0.160 0.160 0.722 x8
5 C 0.235 0.235 0.127 x8

Largest 6 diffraction maxima, low angle first, 2θ from 10° to 80°:
d (Å)  2θ (°)  intensity  h k l
3.600  24.73  62  2 0 0
3.053  29.25  100  1 1 2
2.545  35.26  37  2 2 0
1.955  46.45  62  3 1 2
1.686  54.43  20  2 0 4
1.324  71.21  16  5 1 2

---

Record 3
Structure and calculated X-ray diffraction stick pattern of Pm2HoC2 (a cell relaxed with PBE; Cu Ka).
Kinematic intensities with the Lorentz-polarization factor, no thermal factor.

Structure:
Unit cell a=11.734 b=5.321 c=7.415 alpha=90.00 beta=111.06 gamma=90.00
Space group C2/m (No. 12)
Inequivalent atoms, fractional coordinates:
1 Pm 0.008 0.000 0.235 x4
2 Pm 0.166 0.500 0.075 x4
3 Ho 0.154 0.500 0.596 x4
4 C 0.002 0.500 0.736 x4
5 C 0.167 0.000 0.095 x4

Largest 6 diffraction maxima, low angle first, 2θ from 10° to 80°:
d (Å)  2θ (°)  intensity  h k l
3.040  29.38  100  1 1 -2
3.010  29.68  99  3 1 0
2.661  33.68  83  0 2 0
2.541  35.32  39  2 0 2
1.882  48.37  28  4 2 -2
1.838  49.61  29  2 2 2

---

Record 4
Structure and calculated X-ray diffraction stick pattern of Pm3HoSb2C (a cell relaxed with PBE; Cu Ka).
Kinematic intensities with the Lorentz-polarization factor, no thermal factor.

Structure:
Unit cell a=4.792 b=4.917 c=16.250 alpha=90.00 beta=90.00 gamma=90.00
Space group Immm (No. 71)
Inequivalent atoms, fractional coordinates:
1 Pm 0.000 0.000 0.000 x2
2 Pm 0.000 0.500 0.161 x4
3 Ho 0.000 0.000 0.500 x2
4 Sb 0.000 0.500 0.360 x4
5 C 0.000 0.500 0.000 x2

Largest 6 diffraction maxima, low angle first, 2θ from 10° to 80°:
d (Å)  2θ (°)  intensity  h k l
3.161  28.23  73  1 1 2
2.709  33.07  34  0 0 6
2.621  34.20  100  1 1 4
2.458  36.55  30  0 2 0
2.396  37.54  28  2 0 0
1.449  64.28  33  2 2 6

---

Record 5
Structure and calculated X-ray diffraction stick pattern of Pr2HoSnC (a cell relaxed with PBE; Cu Ka).
Kinematic intensities with the Lorentz-polarization factor, no thermal factor.

Structure:
Unit cell a=5.160 b=5.160 c=4.887 alpha=90.00 beta=90.00 gamma=90.00
Space group P4/mmm (No. 123)
Inequivalent atoms, fractional coordinates:
1 Pr 0.000 0.500 0.000 x2
2 Ho 0.000 0.000 0.500 x1
3 Sn 0.500 0.500 0.500 x1
4 C 0.000 0.000 0.000 x1

Largest 6 diffraction maxima, low angle first, 2θ from 10° to 80°:
d (Å)  2θ (°)  intensity  h k l
2.924  30.58  100  1 1 1
2.580  34.77  38  2 0 0
2.443  36.78  17  0 0 2
1.824  50.00  14  2 2 0
1.774  51.52  25  2 0 2
1.548  59.75  30  3 1 1

---

Record 6
Structure and calculated X-ray diffraction stick pattern of HoPu2Tc2C4 (a cell relaxed with PBE; Cu Ka).
Kinematic intensities with the Lorentz-polarization factor, no thermal factor.

Structure:
Unit cell a=14.499 b=3.210 c=5.681 alpha=90.00 beta=111.02 gamma=90.00
Space group C2/m (No. 12)
Inequivalent atoms, fractional coordinates:
1 Ho 0.000 0.000 0.000 x2
2 Pu 0.139 0.000 0.511 x4
3 Tc 0.173 0.500 0.990 x4
4 C 0.019 0.500 0.637 x4
5 C 0.236 0.000 0.236 x4

Largest 6 diffraction maxima, low angle first, 2θ from 10° to 80°:
d (Å)  2θ (°)  intensity  h k l
3.472  25.65  54  4 0 -1
3.123  28.58  37  1 1 0
2.651  33.81  63  0 0 2
2.567  34.96  100  3 1 -1
2.173  41.56  73  3 1 1
1.630  56.45  23  3 1 -3

---

Record 7
Structure and calculated X-ray diffraction stick pattern of HoReC2 (a cell relaxed with PBE; Cu Ka).
Kinematic intensities with the Lorentz-polarization factor, no thermal factor.

Structure:
Unit cell a=5.620 b=3.332 c=10.805 alpha=90.00 beta=90.00 gamma=90.00
Space group Pnma (No. 62)
Inequivalent atoms, fractional coordinates:
1 Ho 0.099 0.250 0.132 x4
2 Re 0.104 0.750 0.382 x4
3 C 0.152 0.250 0.753 x4
4 C 0.220 0.250 0.483 x4

Largest 6 diffraction maxima, low angle first, 2θ from 10° to 80°:
d (Å)  2θ (°)  intensity  h k l
2.770  32.31  31  1 1 1
2.720  32.93  40  2 0 1
2.701  33.17  40  0 0 4
2.532  35.45  100  1 1 2
2.243  40.21  22  1 1 3
2.216  40.73  27  2 0 3

---

Record 8
Structure and calculated X-ray diffraction stick pattern of Ho4CS (a cell relaxed with PBE; Cu Ka).
Kinematic intensities with the Lorentz-polarization factor, no thermal factor.

Structure:
Unit cell a=6.357 b=3.684 c=6.492 alpha=90.00 beta=108.69 gamma=90.00
Space group P2/m (No. 10)
Inequivalent atoms, fractional coordinates:
1 Ho 0.234 0.000 0.217 x2
2 Ho 0.243 0.500 0.773 x2
3 C 0.000 0.500 0.000 x1
4 S 0.000 0.000 0.500 x1

Largest 6 diffraction maxima, low angle first, 2θ from 10° to 80°:
d (Å)  2θ (°)  intensity  h k l
3.075  29.04  31  0 0 2
3.010  29.68  100  2 0 0
2.626  34.14  59  1 1 1
2.610  34.37  28  2 0 -2
1.837  49.63  21  3 1 -1
1.580  58.39  18  3 1 1

---

Record 9
Structure and calculated X-ray diffraction stick pattern of Ho5Sb2C2 (a cell relaxed with PBE; Cu Ka).
Kinematic intensities with the Lorentz-polarization factor, no thermal factor.

Structure:
Unit cell a=13.151 b=5.152 c=6.981 alpha=90.00 beta=111.53 gamma=90.00
Space group C2/m (No. 12)
Inequivalent atoms, fractional coordinates:
1 Ho 0.000 0.000 0.000 x2
2 Ho 0.151 0.000 0.556 x4
3 Ho 0.163 0.500 0.905 x4
4 Sb 0.100 0.500 0.306 x4
5 C 0.152 0.000 0.877 x4

Largest 6 diffraction maxima, low angle first, 2θ from 10° to 80°:
d (Å)  2θ (°)  intensity  h k l
3.266  27.30  71  4 0 -1
2.878  31.08  100  1 1 -2
2.588  34.65  79  3 1 1
2.576  34.83  53  0 2 0
2.023  44.80  20  4 2 -1
1.497  62.00  20  2 2 3

---

Record 10
Structure and calculated X-ray diffraction stick pattern of HoSbC (a cell relaxed with PBE; Cu Ka).
Kinematic intensities with the Lorentz-polarization factor, no thermal factor.

Structure:
Unit cell a=4.315 b=5.126 c=12.751 alpha=90.00 beta=90.00 gamma=90.00
Space group Immm (No. 71)
Inequivalent atoms, fractional coordinates:
1 Ho 0.000 0.000 0.146 x4
2 Sb 0.000 0.000 0.383 x4
3 C 0.147 0.500 0.500 x4

Largest 6 diffraction maxima, low angle first, 2θ from 10° to 80°:
d (Å)  2θ (°)  intensity  h k l
3.301  27.01  100  1 1 0
3.188  27.99  37  0 0 4
2.563  35.01  29  0 2 0
2.293  39.29  68  1 1 4
1.997  45.41  20  0 2 4
1.787  51.12  18  2 0 4

---

Record 11
Structure and calculated X-ray diffraction stick pattern of Sm3HoSb2C (a cell relaxed with PBE; Cu Ka).
Kinematic intensities with the Lorentz-polarization factor, no thermal factor.

Structure:
Unit cell a=4.785 b=4.892 c=16.152 alpha=90.00 beta=90.00 gamma=90.00
Space group Immm (No. 71)
Inequivalent atoms, fractional coordinates:
1 Sm 0.000 0.000 0.000 x2
2 Sm 0.000 0.500 0.160 x4
3 Ho 0.000 0.000 0.500 x2
4 Sb 0.000 0.500 0.360 x4
5 C 0.000 0.500 0.000 x2

Largest 6 diffraction maxima, low angle first, 2θ from 10° to 80°:
d (Å)  2θ (°)  intensity  h k l
3.150  28.33  72  1 1 2
2.692  33.28  33  0 0 6
2.610  34.36  100  1 1 4
2.446  36.74  30  0 2 0
2.393  37.59  28  2 0 0
1.443  64.60  33  2 2 6

---

Record 12
Structure and calculated X-ray diffraction stick pattern of Ho4SnSbC (a cell relaxed with PBE; Cu Ka).
Kinematic intensities with the Lorentz-polarization factor, no thermal factor.

Structure:
Unit cell a=6.758 b=15.714 c=6.754 alpha=90.00 beta=90.00 gamma=90.00
Space group Cmcm (No. 63)
Inequivalent atoms, fractional coordinates:
1 Ho 0.000 0.092 0.250 x4
2 Ho 0.000 0.407 0.250 x4
3 Ho 0.250 0.250 0.000 x8
4 Sn 0.000 0.108 0.750 x4
5 Sb 0.000 0.392 0.750 x4
6 C 0.000 0.250 0.250 x4

Largest 6 diffraction maxima, low angle first, 2θ from 10° to 80°:
d (Å)  2θ (°)  intensity  h k l
3.103  28.77  71  2 2 0
2.620  34.23  33  0 6 0
2.561  35.03  100  2 4 0
2.389  37.66  58  2 0 2
1.765  51.80  38  2 6 2
1.410  66.29  32  4 4 2